Calculated XRD peak list
Compound: LaPu3Mn3
Radiation: Cu Kα (weighted mean of Kα1 and Kα2)
Structure: a structure optimized by DFT (GGA-PBE)
Lines closer than 0.1° are merged.

Main lines, by intensity (2θ = 5–70°):
- 2θ = 32.1°, 2.788 Å, rel. 100
- 2θ = 29.2°, 3.054 Å, rel. 86
- 2θ = 50.0°, 1.825 Å, rel. 58
- 2θ = 26.1°, 3.414 Å, rel. 42
- 2θ = 46.0°, 1.971 Å, rel. 37
- 2θ = 53.7°, 1.707 Å, rel. 33
- 2θ = 18.4°, 4.828 Å, rel. 25
- 2θ = 48.0°, 1.894 Å, rel. 24
- 2θ = 62.3°, 1.490 Å, rel. 23
- 2θ = 60.7°, 1.527 Å, rel. 16
- 2θ = 64.0°, 1.456 Å, rel. 14
- 2θ = 41.8°, 2.159 Å, rel. 6

Structural model:
a = 6.828 Å, b = 6.828 Å, c = 6.828 Å
α = 90.00°, β = 90.00°, γ = 90.00°
Fractional coordinates of all 14 atoms:
La (0.000, 0.000, 0.000)
La (0.500, 0.500, 0.500)
Pu (0.000, 0.250, 0.500)
Pu (0.000, 0.750, 0.500)
Pu (0.250, 0.500, 0.000)
Pu (0.500, 0.000, 0.250)
Pu (0.500, 0.000, 0.750)
Pu (0.750, 0.500, 0.000)
Mn (0.000, 0.500, 0.250)
Mn (0.000, 0.500, 0.750)
Mn (0.250, 0.000, 0.500)
Mn (0.500, 0.250, 0.000)
Mn (0.500, 0.750, 0.000)
Mn (0.750, 0.000, 0.500)